Starting from the PBE geometry in Alexandria, the PXRD pattern of MgPt4 was computed for Cu Kα X-rays.
No peak broadening, texture or thermal motion is included.

Cell and atoms:
```
data_MgPt4
_cell_length_a 7.7879
_cell_length_b 7.7879
_cell_length_c 7.7879
_cell_angle_alpha 149.23
_cell_angle_beta 138.46
_cell_angle_gamma 52.58
_symmetry_space_group_name_H-M 'P 1'
_symmetry_Int_Tables_number 1
loop_
_symmetry_equiv_pos_as_xyz
'x,y,z'
loop_
_atom_site_label
_atom_site_type_symbol
_atom_site_fract_x
_atom_site_fract_y
_atom_site_fract_z
Mg1 Mg 0.3530 0.1030 0.2500
Mg2 Mg 0.6470 0.8970 0.7500
Pt1 Pt 0.0000 0.5000 0.5000
Pt2 Pt 0.1500 0.9000 0.2500
Pt3 Pt 0.1891 0.6921 0.4970
Pt4 Pt 0.3049 0.3079 0.9970
Pt5 Pt 0.5000 0.5000 0.0000
Pt6 Pt 0.6951 0.6921 0.0030
Pt7 Pt 0.8109 0.3079 0.5030
Pt8 Pt 0.8500 0.1000 0.7500
```

Principal peaks in the range 10° ≤ 2θ ≤ 90°, low angle first:
2θ/deg  I_rel
38.9  1000
39.8  784
41.7  231
43.8  371
51.3  259
51.5  178
69.7  207
81.1  245